[1]
Structure and simulated X-ray powder pattern of KTl12Hg6 (a cell relaxed with PBE; Cu Kα X-rays).
Peak positions follow from Bragg's law for the DFT cell and can differ from measured ones.

Cell and atoms:
a b c (Å): 8.9992 8.9992 8.9992
angles (deg): 106.20 106.20 106.20
Element x y z (fractional)
K  0.0000  0.0000  0.0000
Tl  0.1155  0.5000  0.8845
Tl  0.1155  0.8845  0.5000
Tl  0.1479  0.3949  0.3949
Tl  0.3949  0.1479  0.3949
Tl  0.3949  0.3949  0.1479
Tl  0.5000  0.1155  0.8845
Tl  0.5000  0.8845  0.1155
Tl  0.6051  0.6051  0.8521
Tl  0.6051  0.8521  0.6051
Tl  0.8521  0.6051  0.6051
Tl  0.8845  0.1155  0.5000
Tl  0.8845  0.5000  0.1155
Hg  0.2833  0.7148  0.7148
Hg  0.2852  0.2852  0.7167
Hg  0.2852  0.7167  0.2852
Hg  0.7148  0.2833  0.7148
Hg  0.7148  0.7148  0.2833
Hg  0.7167  0.2852  0.2852

The 8 most intense peaks (2θ from 10° to 90°), in order of rising 2θ:
Position (°2θ)  Rel. int.
27.19  82.5
28.67  58.0
32.48  100.0
33.56  38.8
33.75  68.2
35.87  38.3
37.60  48.2
40.14  65.1

=====

[2]
Structure and simulated X-ray powder pattern of K3Tl2Hg3 (a cell relaxed with PBE; Cu Kα X-rays).
Peak positions follow from Bragg's law for the DFT cell and can differ from measured ones.

Cell and atoms:
a b c (Å): 6.9287 6.9287 17.0551
angles (deg): 90.00 90.00 135.02
Element x y z (fractional)
K  0.0783  0.9217  0.6093
K  0.0783  0.9217  0.8907
K  0.3740  0.6260  0.7500
K  0.6260  0.3740  0.2500
K  0.9217  0.0783  0.1093
K  0.9217  0.0783  0.3907
Tl  0.2178  0.7822  0.0875
Tl  0.2178  0.7822  0.4125
Tl  0.7822  0.2178  0.5875
Tl  0.7822  0.2178  0.9125
Hg  0.3319  0.6681  0.2500
Hg  0.3929  0.6071  0.5404
Hg  0.3929  0.6071  0.9596
Hg  0.6071  0.3929  0.0404
Hg  0.6071  0.3929  0.4596
Hg  0.6681  0.3319  0.7500

The 8 most intense peaks (2θ from 10° to 90°), in order of rising 2θ:
Position (°2θ)  Rel. int.
10.37  75.2
13.83  49.3
18.85  59.7
20.90  93.8
27.74  59.6
31.17  100.0
33.82  67.6
41.39  46.1

=====

[3]
Structure and simulated X-ray powder pattern of KTl6Hg12 (a cell relaxed with PBE; Cu Kα X-rays).
Peak positions follow from Bragg's law for the DFT cell and can differ from measured ones.

Cell and atoms:
a b c (Å): 9.0872 9.0872 9.0872
angles (deg): 110.75 110.75 110.75
Element x y z (fractional)
K  0.0000  0.0000  0.0000
Tl  0.0529  0.5632  0.3550
Tl  0.3550  0.0529  0.5632
Tl  0.4368  0.6450  0.9471
Tl  0.5632  0.3550  0.0529
Tl  0.6450  0.9471  0.4368
Tl  0.9471  0.4368  0.6450
Hg  0.1090  0.1688  0.7353
Hg  0.1688  0.7353  0.1090
Hg  0.2116  0.3220  0.4795
Hg  0.2647  0.8910  0.8312
Hg  0.3220  0.4795  0.2116
Hg  0.4795  0.2116  0.3220
Hg  0.5205  0.7884  0.6780
Hg  0.6780  0.5205  0.7884
Hg  0.7353  0.1090  0.1688
Hg  0.7884  0.6780  0.5205
Hg  0.8312  0.2647  0.8910
Hg  0.8910  0.8312  0.2647

The 8 most intense peaks (2θ from 10° to 90°), in order of rising 2θ:
Position (°2θ)  Rel. int.
31.59  34.1
31.91  100.0
36.92  67.9
52.99  23.8
53.41  22.9
63.02  14.1
63.39  27.1
63.57  13.3

=====

[4]
Structure and simulated X-ray powder pattern of K3TlHg4 (a cell relaxed with PBE; Cu Kα X-rays).
Peak positions follow from Bragg's law for the DFT cell and can differ from measured ones.

Cell and atoms:
a b c (Å): 6.3586 8.6026 10.8255
angles (deg): 90.00 90.00 90.00
Element x y z (fractional)
K  0.0000  0.0000  0.0000
K  0.0000  0.2281  0.6365
K  0.0000  0.7719  0.6365
K  0.5000  0.2719  0.1365
K  0.5000  0.5000  0.5000
K  0.5000  0.7281  0.1365
Tl  0.0000  0.5000  0.0718
Tl  0.5000  0.0000  0.5718
Hg  0.0000  0.3135  0.3218
Hg  0.0000  0.6865  0.3218
Hg  0.2459  0.0000  0.3298
Hg  0.2541  0.5000  0.8298
Hg  0.5000  0.1865  0.8218
Hg  0.5000  0.8135  0.8218
Hg  0.7459  0.5000  0.8298
Hg  0.7541  0.0000  0.3298

The 8 most intense peaks (2θ from 10° to 90°), in order of rising 2θ:
Position (°2θ)  Rel. int.
13.15  78.3
16.17  89.0
16.38  73.8
26.34  61.8
31.11  89.4
32.30  69.8
33.10  51.8
38.96  100.0